Record 1
TmWC2: simulated powder diffractogram (Cu Kα X-rays), based on a DFT-relaxed cell (GGA-PBE, the Materials Project).
Intensities are scaled so that the largest is 100.

Main lines, in order of rising 2θ (5° ≤ 2θ ≤ 70°):
two_theta, d_spacing, I (rel.)
32.22, 2.778, 25
32.60, 2.746, 34
33.34, 2.687, 34
35.40, 2.536, 100
40.21, 2.243, 15
40.52, 2.226, 24
55.09, 1.667, 12
56.54, 1.628, 20
60.92, 1.521, 17
62.02, 1.496, 12

Structure:
```
TmWC2
1.0
5.6815 0.0000 0.0000
0.0000 3.3344 0.0000
0.0000 0.0000 10.7500
Tm W C
4 4 8
Direct
0.0853 0.2500 0.1371
0.4147 0.7500 0.6371
0.5853 0.2500 0.3629
0.9147 0.7500 0.8629
0.0985 0.7500 0.3899
0.4015 0.2500 0.8899
0.5985 0.7500 0.1101
0.9015 0.2500 0.6101
0.1597 0.2500 0.7528
0.2289 0.2500 0.4876
0.2711 0.7500 0.9876
0.3403 0.7500 0.2528
0.6597 0.2500 0.7472
0.7289 0.2500 0.0124
0.7711 0.7500 0.5124
0.8403 0.7500 0.2472
```

=====

Record 2
UC2: simulated powder diffractogram (Cu Kα X-rays), based on a DFT-relaxed cell (GGA-PBE, the Materials Project).
Intensities are scaled so that the largest is 100.

Main lines, in order of rising 2θ (5° ≤ 2θ ≤ 70°):
two_theta, d_spacing, I (rel.)
29.47, 3.031, 100
29.96, 2.983, 29
36.09, 2.489, 41
47.59, 1.911, 33
51.97, 1.760, 15
52.88, 1.731, 26
60.87, 1.522, 29
61.15, 1.516, 16
62.25, 1.491, 3

Structure:
```
UC2
1.0
-1.7596 1.7596 2.9828
1.7596 -1.7596 2.9828
1.7596 1.7596 -2.9828
U C
1 2
Direct
0.0000 0.0000 0.0000
0.3843 0.3843 0.0000
0.6157 0.6157 0.0000
```

=====

Record 3
U3C: simulated powder diffractogram (Cu Kα X-rays), based on a DFT-relaxed cell (GGA-PBE, the Materials Project).
Intensities are scaled so that the largest is 100.

Main lines, in order of rising 2θ (5° ≤ 2θ ≤ 70°):
two_theta, d_spacing, I (rel.)
21.98, 4.043, 29
31.29, 2.859, 25
38.57, 2.334, 100
44.83, 2.022, 49
50.47, 1.808, 14
55.68, 1.651, 11
65.27, 1.430, 34
69.78, 1.348, 7

Structure:
```
U3C
1.0
4.0433 0.0000 0.0000
0.0000 4.0433 0.0000
0.0000 0.0000 4.0433
U C
3 1
Direct
0.0000 0.0000 0.5000
0.0000 0.5000 0.0000
0.5000 0.0000 0.0000
0.5000 0.5000 0.5000
```

=====

Record 4
UC2: simulated powder diffractogram (Cu Kα X-rays), based on a DFT-relaxed cell (GGA-PBE, the Materials Project).
Intensities are scaled so that the largest is 100.

Main lines, in order of rising 2θ (5° ≤ 2θ ≤ 70°):
two_theta, d_spacing, I (rel.)
28.66, 3.115, 100
33.21, 2.697, 67
47.68, 1.907, 47
56.58, 1.627, 54
59.34, 1.557, 16
69.72, 1.349, 7

Structure:
```
UC2
1.0
5.3949 0.0000 0.0000
0.0000 5.3949 0.0000
0.0000 0.0000 5.3949
U C
4 8
Direct
0.0000 0.0000 0.0000
0.0000 0.5000 0.5000
0.5000 0.0000 0.5000
0.5000 0.5000 0.0000
0.0766 0.5766 0.9234
0.0766 0.9234 0.4234
0.4234 0.0766 0.9234
0.4234 0.4234 0.4234
0.5766 0.5766 0.5766
0.5766 0.9234 0.0766
0.9234 0.0766 0.5766
0.9234 0.4234 0.0766
```

=====

Record 5
UC2: simulated powder diffractogram (Cu Kα X-rays), based on a DFT-relaxed cell (GGA-PBE, the Materials Project).
Intensities are scaled so that the largest is 100.

Main lines, in order of rising 2θ (5° ≤ 2θ ≤ 70°):
two_theta, d_spacing, I (rel.)
28.70, 3.110, 100
33.26, 2.694, 42
47.75, 1.905, 45
56.67, 1.624, 47
59.44, 1.555, 12
69.84, 1.347, 7

Structure:
```
UC2
1.0
0.0000 2.6935 2.6935
2.6935 0.0000 2.6935
2.6935 2.6935 0.0000
U C
1 2
Direct
0.0000 0.0000 0.0000
0.2500 0.2500 0.2500
0.7500 0.7500 0.7500
```